The following is a simulated powder X-ray diffraction pattern of Ba2Sr3Au3. It was derived from a PBE-relaxed structure, using a wavelength of 1.5418 Å.
Kinematic intensities with the Lorentz-polarization factor, no thermal factor.

Top 10 peaks for 2θ = 10–90°, in order of falling intensity:
h k l, d/Å, I_rel
2 1 0, 3.230, 100
0 1 0, 7.109, 67
1 0 0, 5.882, 55
0 1 -3, 4.104, 46
0 2 3, 2.985, 40
0 1 3, 4.263, 38
0 0 6, 2.585, 33
-2 1 3, 2.192, 31
2 1 6, 2.018, 29
2 0 3, 2.538, 27

Structure:
```
data_Ba2Sr3Au3
_chemical_formula_sum 'Ba4 Sr6 Au6'
_space_group_name_H-M_alt 'P 1'
_space_group_IT_number 1
_cell_length_a 6.4609
_cell_length_b 7.8111
_cell_length_c 15.5214
_cell_angle_alpha 87.92
_cell_angle_beta 89.99
_cell_angle_gamma 65.63
loop_
_space_group_symop_operation_xyz
'x,y,z'
loop_
_atom_site_label
_atom_site_fract_x
_atom_site_fract_y
_atom_site_fract_z
Ba1 0.0000 0.0000 0.0000
Ba2 0.0137 0.9698 0.3599
Ba3 0.3930 0.2147 0.8020
Ba4 0.7071 0.5837 0.5074
Sr1 0.0905 0.8174 0.6757
Sr2 0.2921 0.4166 0.0473
Sr3 0.2994 0.3992 0.3130
Sr4 0.4211 0.1548 0.5411
Sr5 0.6157 0.7678 0.1781
Sr6 0.6809 0.6383 0.8737
Au1 0.1334 0.7322 0.1794
Au2 0.1791 0.6422 0.8689
Au3 0.2044 0.5889 0.4968
Au4 0.5025 0.9950 0.9941
Au5 0.5174 0.9625 0.3626
Au6 0.5793 0.8399 0.6849
```